Diffraction record for SmCo2B2. The powder X-ray diffraction pattern is simulated, not measured: it uses the GGA-PBE geometry in the Materials Project and copper Kα.
No peak broadening, texture or thermal motion is included.

Cell: 3.5737 3.5737 9.7514 Å, 90.00 90.00 90.00°
Positions (direct):
Sm 0.0000 0.0000 0.0000
Sm 0.5000 0.5000 0.5000
Co 0.0000 0.5000 0.2500
Co 0.0000 0.5000 0.7500
Co 0.5000 0.0000 0.2500
Co 0.5000 0.0000 0.7500
B 0.0000 0.0000 0.3413
B 0.0000 0.0000 0.6587
B 0.5000 0.5000 0.1587
B 0.5000 0.5000 0.8413

Top 8 peaks for 2θ = 5–70°, by angle:
| Position (°2θ) | I_rel |
| --- | --- |
| 26.56 | 82 |
| 36.87 | 31 |
| 37.40 | 47 |
| 40.19 | 100 |
| 51.12 | 28 |
| 58.52 | 19 |
| 64.68 | 23 |
| 68.66 | 22 |

Diffraction record for SmCo3B2. The powder X-ray diffraction pattern is simulated, not measured: it uses the GGA-PBE geometry in the Materials Project and copper Kα.
No peak broadening, texture or thermal motion is included.

Cell: 5.0589 5.0589 3.0253 Å, 90.00 90.00 120.00°
Positions (direct):
Sm 0.0000 0.0000 0.0000
Co 0.0000 0.5000 0.5000
Co 0.5000 0.0000 0.5000
Co 0.5000 0.5000 0.5000
B 0.3333 0.6667 0.0000
B 0.6667 0.3333 0.0000

Top 8 peaks for 2θ = 5–70°, by angle:
| Position (°2θ) | I_rel |
| --- | --- |
| 20.27 | 30 |
| 35.49 | 13 |
| 36.08 | 100 |
| 41.21 | 89 |
| 46.82 | 58 |
| 55.49 | 5 |
| 61.28 | 10 |
| 64.11 | 37 |

Diffraction record for Sm4Co3B6. The powder X-ray diffraction pattern is simulated, not measured: it uses the GGA-PBE geometry in the Materials Project and copper Kα.
No peak broadening, texture or thermal motion is included.

Cell: 8.0896 8.0896 8.0896 Å, 38.36 38.36 38.36°
Positions (direct):
Sm 0.0895 0.0895 0.0895
Sm 0.2440 0.2440 0.2440
Sm 0.7560 0.7560 0.7560
Sm 0.9105 0.9105 0.9105
Co 0.3863 0.3863 0.3863
Co 0.5000 0.5000 0.5000
Co 0.6137 0.6137 0.6137
B 0.0000 0.3325 0.6675
B 0.0000 0.6675 0.3325
B 0.3325 0.0000 0.6675
B 0.3325 0.6675 0.0000
B 0.6675 0.0000 0.3325
B 0.6675 0.3325 0.0000

Top 8 peaks for 2θ = 5–70°, by angle:
| Position (°2θ) | I_rel |
| --- | --- |
| 23.78 | 37 |
| 33.72 | 100 |
| 34.07 | 25 |
| 37.53 | 20 |
| 41.68 | 68 |
| 48.68 | 15 |
| 60.32 | 21 |
| 60.52 | 25 |

Diffraction record for TbCoB4. The powder X-ray diffraction pattern is simulated, not measured: it uses the GGA-PBE geometry in the Materials Project and copper Kα.
No peak broadening, texture or thermal motion is included.

Cell: 5.9132 11.4438 3.4048 Å, 90.00 90.00 90.00°
Positions (direct):
Tb 0.1273 0.1499 0.0000
Tb 0.3727 0.6499 0.0000
Tb 0.6273 0.3501 0.0000
Tb 0.8727 0.8501 0.0000
Co 0.1345 0.4109 0.0000
Co 0.3655 0.9109 0.0000
Co 0.6345 0.0891 0.0000
Co 0.8655 0.5891 0.0000
B 0.0231 0.6905 0.5000
B 0.1110 0.5458 0.5000
B 0.1396 0.9676 0.5000
B 0.2192 0.8155 0.5000
B 0.2808 0.3155 0.5000
B 0.3604 0.4676 0.5000
B 0.3890 0.0458 0.5000
B 0.4769 0.1905 0.5000
B 0.5231 0.8095 0.5000
B 0.6110 0.9542 0.5000
B 0.6396 0.5324 0.5000
B 0.7192 0.6845 0.5000
B 0.7808 0.1845 0.5000
B 0.8604 0.0324 0.5000
B 0.8890 0.4542 0.5000
B 0.9769 0.3095 0.5000

Top 8 peaks for 2θ = 5–70°, by angle:
| Position (°2θ) | I_rel |
| --- | --- |
| 21.61 | 21 |
| 26.17 | 65 |
| 27.83 | 29 |
| 31.26 | 91 |
| 38.56 | 45 |
| 41.21 | 100 |
| 44.09 | 22 |
| 63.59 | 23 |

Diffraction record for TbCo4B4. The powder X-ray diffraction pattern is simulated, not measured: it uses the GGA-PBE geometry in the Materials Project and copper Kα.
No peak broadening, texture or thermal motion is included.

Cell: 5.0004 5.0004 6.9782 Å, 90.00 90.00 90.00°
Positions (direct):
Tb 0.2500 0.7500 0.2500
Tb 0.7500 0.2500 0.7500
Co 0.0045 0.7500 0.6131
Co 0.2500 0.5045 0.8869
Co 0.2500 0.9955 0.8869
Co 0.4955 0.7500 0.6131
Co 0.5045 0.2500 0.3869
Co 0.7500 0.0045 0.1131
Co 0.7500 0.4955 0.1131
Co 0.9955 0.2500 0.3869
B 0.0757 0.2500 0.0920
B 0.2500 0.0757 0.5920
B 0.2500 0.4243 0.5920
B 0.4243 0.2500 0.0920
B 0.5757 0.7500 0.9080
B 0.7500 0.5757 0.4080
B 0.7500 0.9243 0.4080
B 0.9243 0.7500 0.9080

Top 8 peaks for 2θ = 5–70°, by angle:
| Position (°2θ) | I_rel |
| --- | --- |
| 21.87 | 21 |
| 25.19 | 36 |
| 31.26 | 19 |
| 36.17 | 35 |
| 38.24 | 32 |
| 42.45 | 100 |
| 42.88 | 61 |
| 69.05 | 22 |